# Na3LaSi2SnSO12
Calculated powder diffractogram, Cu Kα X-rays. Input: a structure optimized by DFT (GGA-PBE).

Crystal structure
```
data_Na3LaSi2SnSO12
_chemical_formula_sum 'Na12 La4 Si8 Sn4 S4 O48'
_cell_length_a 16.130
_cell_length_b 9.532
_cell_length_c 9.591
_cell_angle_alpha 90.00
_cell_angle_beta 125.19
_cell_angle_gamma 90.00
_symmetry_space_group_name_H-M 'C 1 c 1'
_symmetry_Int_Tables_number 9
loop_
_symmetry_equiv_pos_as_xyz
'x,y,z'
'x,-y,z+1/2'
'x+1/2,y+1/2,z'
'x+1/2,-y+1/2,z+1/2'
loop_
_atom_site_label
_atom_site_fract_x
_atom_site_fract_y
_atom_site_fract_z
_atom_site_occupancy
Na1 0.000 0.064 0.000 1
Na2 0.073 0.235 0.426 1
Na3 0.138 0.434 0.794 1
La1 0.216 0.239 0.263 1
Si1 0.149 0.116 0.845 1
Si2 0.311 0.451 0.660 1
Sn1 0.402 0.269 0.029 1
S1 0.465 0.078 0.445 1
O1 0.051 0.362 0.110 1
O2 0.060 0.210 0.670 1
O3 0.133 0.049 0.292 1
O4 0.134 0.140 0.996 1
O5 0.231 0.356 0.494 1
O6 0.247 0.457 0.208 1
O7 0.258 0.192 0.894 1
O8 0.374 0.136 0.423 1
O9 0.385 0.444 0.133 1
O10 0.400 0.360 0.834 1
O11 0.467 0.079 0.963 1
O12 0.470 0.114 0.300 1
```

Peak list (10 most intense, 15 to 90 degrees two-theta, low angle first)
| 2θ/deg | I_rel |
| --- | --- |
| 18.51 | 49 |
| 18.64 | 100 |
| 18.95 | 58 |
| 26.37 | 35 |
| 29.48 | 38 |
| 29.91 | 51 |
| 30.36 | 41 |
| 32.58 | 77 |
| 42.19 | 20 |
| 45.46 | 21 |